Computed powder diffraction line list
Compound: Li3Fe2OF5
Radiation: Cu Kα, 1.54184 Å
Structure: DFT lattice parameters and positions (GGA+U)

Main lines, by intensity (5° ≤ 2θ ≤ 70°):
two_theta  I (rel.)
23.33  100.0
42.32  79.3
61.79  40.6
42.84  36.7
38.29  27.4
18.72  25.1
48.88  23.4
61.39  21.5

Atomic structure:
abc: 6.0364 8.4447 18.1352
angles: 90.00 90.00 90.00
Space group F222 (No. 22)
Asymmetric unit:
Li (0.0000, 0.0000, 0.0000) (multiplicity 4)
Li (0.0000, 0.0000, 0.3247) (multiplicity 8)
Li (0.2500, 0.2500, 0.2500) (multiplicity 4)
Li (0.2500, 0.2500, 0.5790) (multiplicity 8)
Fe (0.0000, 0.0000, 0.5000) (multiplicity 4)
Fe (0.2500, 0.2500, 0.0794) (multiplicity 8)
Fe (0.2500, 0.2500, 0.7500) (multiplicity 4)
O (0.0000, 0.2427, 0.5000) (multiplicity 8)
F (0.0149, 0.2295, 0.3304) (multiplicity 16)
F (0.2494, 0.0056, 0.9153) (multiplicity 16)
F (0.2500, 0.0131, 0.7500) (multiplicity 8)